LiTb5In6: simulated X-ray powder pattern (Cu Kα), based on a DFT-relaxed cell (GGA-PBE, Alexandria).
Neutral-atom scattering factors, no anomalous dispersion.

Peak list (10 most intense, 2θ = 10–80°, low angle first)
2θ = 33.92°, d 2.643, I = 100, hkl 1 2 3
2θ = 34.07°, d 2.631, I = 25, hkl 0 0 6
2θ = 34.27°, d 2.617, I = 25, hkl 2 0 0
2θ = 48.34°, d 1.883, I = 9, hkl 0 4 0
2θ = 49.10°, d 1.855, I = 17, hkl 2 0 6
2θ = 60.46°, d 1.531, I = 9, hkl 0 4 6
2θ = 60.59°, d 1.528, I = 9, hkl 2 4 0
2θ = 60.89°, d 1.522, I = 17, hkl 1 2 9
2θ = 61.14°, d 1.516, I = 18, hkl 3 2 3
2θ = 71.37°, d 1.322, I = 10, hkl 2 4 6

Cell and atoms:
Unit cell a=5.233 b=7.532 c=15.789 alpha=90.00 beta=90.00 gamma=90.00
Space group Immm (No. 71)
Asymmetric unit:
Li 0.000 0.000 0.000 (multiplicity 2)
Tb 0.000 0.000 0.337 (multiplicity 4)
Tb 0.000 0.500 0.000 (multiplicity 2)
Tb 0.000 0.500 0.330 (multiplicity 4)
In 0.000 0.239 0.160 (multiplicity 8)
In 0.000 0.273 0.500 (multiplicity 4)

Sr2Cr: simulated X-ray powder pattern (Cu Kα), based on a DFT-relaxed cell (GGA-PBE, Alexandria).
Neutral-atom scattering factors, no anomalous dispersion.

Peak list (10 most intense, 2θ = 10–80°, low angle first)
2θ = 22.10°, d 4.021, I = 15, hkl 1 1 1
2θ = 27.47°, d 3.247, I = 39, hkl 0 2 2
2θ = 27.73°, d 3.217, I = 55, hkl 1 3 0
2θ = 30.12°, d 2.967, I = 100, hkl 1 1 2
2θ = 31.14°, d 2.872, I = 15, hkl 0 4 1
2θ = 35.04°, d 2.561, I = 25, hkl 2 0 0
2θ = 45.09°, d 2.011, I = 20, hkl 2 2 2
2θ = 45.48°, d 1.994, I = 17, hkl 0 6 1
2θ = 56.09°, d 1.640, I = 15, hkl 1 3 4
2θ = 59.84°, d 1.546, I = 13, hkl 3 1 2

Cell and atoms:
Unit cell a=5.121 b=12.402 c=7.624 alpha=90.00 beta=90.00 gamma=90.00
Space group Cmcm (No. 63)
Asymmetric unit:
Sr 0.000 0.000 0.000 (multiplicity 4)
Sr 0.000 0.296 0.250 (multiplicity 4)
Cr 0.000 0.395 0.750 (multiplicity 4)

Ti3Mo7: simulated X-ray powder pattern (Cu Kα), based on a DFT-relaxed cell (GGA-PBE, Alexandria).
Neutral-atom scattering factors, no anomalous dispersion.

Peak list (10 most intense, 2θ = 10–80°, low angle first)
2θ = 24.18°, d 3.680, I = 18, hkl 2 0 0
2θ = 32.17°, d 2.782, I = 31, hkl 2 1 0
2θ = 36.38°, d 2.469, I = 28, hkl 1 0 2
2θ = 36.58°, d 2.457, I = 91, hkl 2 1 1
2θ = 40.60°, d 2.222, I = 75, hkl 3 0 1
2θ = 42.33°, d 2.135, I = 100, hkl 2 0 2
2θ = 42.55°, d 2.125, I = 43, hkl 2 2 0
2θ = 44.37°, d 2.041, I = 26, hkl 3 1 0
2θ = 61.58°, d 1.506, I = 26, hkl 4 0 2
2θ = 76.43°, d 1.246, I = 30, hkl 3 3 2

Cell and atoms:
Unit cell a=8.4994 b=8.4994 c=5.2424 alpha=90.00 beta=90.00 gamma=120.00
Space group P6_3/mmc (No. 194)
Asymmetric unit:
Ti 0.2125 0.4250 0.2500 (multiplicity 6)
Mo 0.0000 0.5000 0.0000 (multiplicity 6)
Mo 0.1113 0.2227 0.7500 (multiplicity 6)
Mo 0.3333 0.6667 0.7500 (multiplicity 2)

AcBe2GeO6: simulated X-ray powder pattern (Cu Kα), based on a DFT-relaxed cell (GGA-PBE, Alexandria).
Neutral-atom scattering factors, no anomalous dispersion.

Peak list (10 most intense, 2θ = 10–80°, low angle first)
2θ = 14.30°, d 6.194, I = 38, hkl 1 1 0
2θ = 16.24°, d 5.458, I = 61, hkl 1 1 -1
2θ = 19.83°, d 4.478, I = 100, hkl 2 0 0
2θ = 20.71°, d 4.288, I = 67, hkl 0 2 0
2θ = 25.17°, d 3.538, I = 66, hkl 2 0 -2
2θ = 26.70°, d 3.338, I = 32, hkl 2 2 -1
2θ = 28.83°, d 3.097, I = 76, hkl 2 2 0
2θ = 32.85°, d 2.727, I = 73, hkl 2 2 -2
2θ = 33.78°, d 2.654, I = 33, hkl 4 0 -2
2θ = 39.93°, d 2.258, I = 47, hkl 4 2 -2

Cell and atoms:
Unit cell a=10.914 b=8.576 c=7.110 alpha=90.00 beta=124.85 gamma=90.00
Space group C2/c (No. 15)
Asymmetric unit:
Ac 0.000 0.199 0.250 (multiplicity 4)
Be 0.223 0.446 0.104 (multiplicity 8)
Ge 0.000 0.218 0.750 (multiplicity 4)
O 0.102 0.318 0.012 (multiplicity 8)
O 0.109 0.089 0.707 (multiplicity 8)
O 0.187 0.393 0.494 (multiplicity 8)

Tb2B4Ru3: simulated X-ray powder pattern (Cu Kα), based on a DFT-relaxed cell (GGA-PBE, Alexandria).
Neutral-atom scattering factors, no anomalous dispersion.

Peak list (10 most intense, 2θ = 10–80°, low angle first)
2θ = 18.50°, d 4.796, I = 19, hkl 0 0 2
2θ = 26.77°, d 3.331, I = 25, hkl 0 2 2
2θ = 33.66°, d 2.663, I = 100, hkl 1 1 3
2θ = 37.39°, d 2.405, I = 81, hkl 2 2 0
2θ = 38.91°, d 2.314, I = 42, hkl 0 4 0
2θ = 43.83°, d 2.065, I = 54, hkl 1 3 3
2θ = 57.84°, d 1.594, I = 21, hkl 3 1 3
2θ = 60.03°, d 1.541, I = 19, hkl 1 5 3
2θ = 65.08°, d 1.433, I = 26, hkl 3 3 3
2θ = 70.77°, d 1.331, I = 23, hkl 2 2 6

Cell and atoms:
Unit cell a=5.629 b=9.258 c=9.591 alpha=90.00 beta=90.00 gamma=90.00
Space group Fmmm (No. 69)
Asymmetric unit:
Tb 0.000 0.000 0.158 (multiplicity 8)
B 0.000 0.215 0.335 (multiplicity 16)
Ru 0.000 0.000 0.500 (multiplicity 4)
Ru 0.250 0.250 0.000 (multiplicity 8)

K4Hg: simulated X-ray powder pattern (Cu Kα), based on a DFT-relaxed cell (GGA-PBE, Alexandria).
Neutral-atom scattering factors, no anomalous dispersion.

Peak list (10 most intense, 2θ = 10–80°, low angle first)
2θ = 12.21°, d 7.251, I = 100, hkl 1 0 1
2θ = 15.85°, d 5.591, I = 73, hkl 2 0 0
2θ = 20.06°, d 4.427, I = 32, hkl 2 1 1
2θ = 21.78°, d 4.080, I = 43, hkl 1 1 2
2θ = 25.67°, d 3.471, I = 55, hkl 3 0 1
2θ = 29.24°, d 3.055, I = 36, hkl 1 0 3
2θ = 30.31°, d 2.949, I = 49, hkl 3 2 1
2θ = 31.51°, d 2.839, I = 60, hkl 3 1 2
2θ = 32.02°, d 2.795, I = 26, hkl 4 0 0
2θ = 41.48°, d 2.177, I = 28, hkl 4 3 1

Cell and atoms:
Unit cell a=11.181 b=11.181 c=9.526 alpha=90.00 beta=90.00 gamma=90.00
Space group I4_1/amd (No. 141, origin choice 2)
Asymmetric unit:
K 0.000 0.054 0.206 (multiplicity 16)
Hg 0.000 0.250 0.875 (multiplicity 4)

CoRe2Mo2S8: simulated X-ray powder pattern (Cu Kα), based on a DFT-relaxed cell (GGA-PBE, Alexandria).
Neutral-atom scattering factors, no anomalous dispersion.

Peak list (10 most intense, 2θ = 10–80°, low angle first)
2θ = 15.83°, d 5.598, I = 100, hkl 0 1 1
2θ = 15.93°, d 5.562, I = 28, hkl 1 0 1
2θ = 18.36°, d 4.833, I = 39, hkl 0 0 2
2θ = 30.64°, d 2.918, I = 46, hkl 0 1 3
2θ = 30.77°, d 2.906, I = 45, hkl 2 1 1
2θ = 37.21°, d 2.416, I = 75, hkl 0 0 4
2θ = 46.14°, d 1.968, I = 24, hkl 3 1 2
2θ = 48.86°, d 1.864, I = 32, hkl 0 3 3
2θ = 49.10°, d 1.855, I = 26, hkl 3 0 3
2θ = 53.64°, d 1.709, I = 38, hkl 2 2 4

Cell and atoms:
Unit cell a=6.799 b=6.866 c=9.670 alpha=90.00 beta=90.00 gamma=90.00
Space group Imm2 (No. 44)
Asymmetric unit:
Co 0.000 0.000 0.000 (multiplicity 2)
Re 0.207 0.000 0.605 (multiplicity 4)
Mo 0.000 0.206 0.399 (multiplicity 4)
S 0.000 0.268 0.637 (multiplicity 4)
S 0.000 0.273 0.133 (multiplicity 4)
S 0.228 0.500 0.867 (multiplicity 4)
S 0.234 0.500 0.364 (multiplicity 4)

K3LiAg2H6: simulated X-ray powder pattern (Cu Kα), based on a DFT-relaxed cell (GGA-PBE, Alexandria).
Neutral-atom scattering factors, no anomalous dispersion.

Peak list (10 most intense, 2θ = 10–80°, low angle first)
2θ = 17.13°, d 5.177, I = 34, hkl 1 0 0
2θ = 21.44°, d 4.145, I = 71, hkl 0 1 1
2θ = 25.75°, d 3.459, I = 26, hkl 0 0 2
2θ = 29.90°, d 2.989, I = 100, hkl 1 1 0
2θ = 31.09°, d 2.876, I = 54, hkl 1 0 2
2θ = 39.86°, d 2.262, I = 43, hkl 1 1 2
2θ = 43.68°, d 2.072, I = 21, hkl 0 2 2
2θ = 48.34°, d 1.883, I = 16, hkl 1 2 1
2θ = 53.07°, d 1.726, I = 18, hkl 3 0 0
2θ = 53.83°, d 1.703, I = 21, hkl 2 1 2

Cell and atoms:
Unit cell a=5.9775 b=5.9775 c=6.9185 alpha=90.00 beta=90.00 gamma=120.00
Space group P-3m1 (No. 164)
Asymmetric unit:
K 0.0000 0.0000 0.0000 (multiplicity 1)
K 0.3333 0.6667 0.7161 (multiplicity 2)
Li 0.0000 0.0000 0.5000 (multiplicity 1)
Ag 0.3333 0.6667 0.2712 (multiplicity 2)
H 0.1610 0.3219 0.2918 (multiplicity 6)